(1)
For K2RbBiI6, a GGA-PBE-relaxed structure gives the theoretical X-ray diffraction stick pattern in this record (CuKα).
Lines closer than 0.1° are merged.

Peak list (8 most intense, 2θ = 10–80°, most intense first)
2θ 27.27, I 100.0
2θ 13.54, I 87.9
2θ 38.94, I 74.0
2θ 30.56, I 48.3
2θ 23.56, I 44.7
2θ 63.61, I 31.3
2θ 41.41, I 26.6
2θ 11.72, I 25.8

Atomic structure:
abc: 13.083 13.083 13.083
angles: 90.00 90.00 90.00
Space group Fm-3m (No. 225)
Inequivalent atoms, fractional coordinates:
1 K 0.250 0.250 0.250 x8
2 Rb 0.000 0.000 0.000 x4
3 Bi 0.000 0.000 0.500 x4
4 I 0.000 0.000 0.265 x24



(2)
For LiBi2I2O2, a GGA-PBE-relaxed structure gives the theoretical X-ray diffraction stick pattern in this record (CuKα).
Lines closer than 0.1° are merged.

Peak list (8 most intense, 2θ = 10–80°, most intense first)
2θ 27.59, I 100.0
2θ 30.17, I 45.5
2θ 52.02, I 35.5
2θ 34.02, I 27.6
2θ 43.19, I 21.1
2θ 47.10, I 14.9
2θ 56.09, I 13.6
2θ 54.74, I 13.4

Atomic structure:
abc: 4.189 4.189 10.171
angles: 90.00 90.00 90.00
Space group P4mm (No. 99)
Inequivalent atoms, fractional coordinates:
1 Li 0.000 0.000 0.000 x1
2 Bi 0.000 0.000 0.325 x1
3 Bi 0.500 0.500 0.543 x1
4 I 0.000 0.000 0.730 x1
5 I 0.500 0.500 0.082 x1
6 O 0.000 0.500 0.428 x2



(3)
For LiBi2I2O2, a GGA-PBE-relaxed structure gives the theoretical X-ray diffraction stick pattern in this record (CuKα).
Lines closer than 0.1° are merged.

Peak list (8 most intense, 2θ = 10–80°, most intense first)
2θ 27.61, I 100.0
2θ 29.85, I 44.1
2θ 51.63, I 36.3
2θ 34.24, I 27.9
2θ 42.72, I 21.2
2θ 55.24, I 15.4
2θ 47.38, I 14.6
2θ 55.85, I 14.2

Atomic structure:
abc: 4.233 4.233 10.000
angles: 90.00 90.00 90.00
Space group P-4m2 (No. 115)
Inequivalent atoms, fractional coordinates:
1 Li 0.000 0.000 0.000 x1
2 Bi 0.000 0.500 0.608 x2
3 I 0.000 0.500 0.178 x2
4 O 0.000 0.000 0.500 x1
5 O 0.500 0.500 0.500 x1



(4)
For LiBi2I2O2, a GGA-PBE-relaxed structure gives the theoretical X-ray diffraction stick pattern in this record (CuKα).
Lines closer than 0.1° are merged.

Peak list (8 most intense, 2θ = 10–80°, most intense first)
2θ 27.73, I 100.0
2θ 30.84, I 46.7
2θ 52.96, I 36.9
2θ 41.18, I 21.8
2θ 44.17, I 21.4
2θ 35.47, I 15.1
2θ 17.09, I 14.0
2θ 61.97, I 13.1

Atomic structure:
abc: 4.101 4.101 10.377
angles: 90.00 90.00 90.00
Space group P4mm (No. 99)
Inequivalent atoms, fractional coordinates:
1 Li 0.000 0.000 0.000 x1
2 Bi 0.000 0.000 0.751 x1
3 Bi 0.500 0.500 0.051 x1
4 I 0.000 0.000 0.255 x1
5 I 0.500 0.500 0.612 x1
6 O 0.000 0.500 0.945 x2



(5)
For LiBi2I2O2, a GGA-PBE-relaxed structure gives the theoretical X-ray diffraction stick pattern in this record (CuKα).
Lines closer than 0.1° are merged.

Peak list (8 most intense, 2θ = 10–80°, most intense first)
2θ 28.84, I 100.0
2θ 26.38, I 97.5
2θ 27.54, I 92.2
2θ 48.93, I 38.8
2θ 39.61, I 38.0
2θ 51.00, I 35.7
2θ 34.07, I 32.4
2θ 33.13, I 30.0

Atomic structure:
abc: 4.224 4.549 10.089
angles: 90.00 90.00 90.00
Space group Pmm2 (No. 25)
Inequivalent atoms, fractional coordinates:
1 Li 0.000 0.000 0.000 x1
2 Bi 0.000 0.500 0.843 x1
3 Bi 0.500 0.000 0.649 x1
4 I 0.000 0.500 0.479 x1
5 I 0.500 0.000 0.133 x1
6 O 0.000 0.000 0.779 x1
7 O 0.500 0.500 0.751 x1



(6)
For Rb2LiBiI6, a GGA-PBE-relaxed structure gives the theoretical X-ray diffraction stick pattern in this record (CuKα).
Lines closer than 0.1° are merged.

Peak list (8 most intense, 2θ = 10–80°, most intense first)
2θ 29.46, I 100.0
2θ 25.44, I 77.5
2θ 42.15, I 74.7
2θ 49.88, I 34.8
2θ 69.30, I 33.9
2θ 14.61, I 33.7
2θ 52.26, I 26.4
2θ 77.04, I 25.3

Atomic structure:
abc: 12.128 12.128 12.128
angles: 90.00 90.00 90.00
Space group Fm-3m (No. 225)
Inequivalent atoms, fractional coordinates:
1 Rb 0.250 0.250 0.250 x8
2 Li 0.000 0.000 0.000 x4
3 Bi 0.000 0.000 0.500 x4
4 I 0.000 0.000 0.246 x24



(7)
For MgBi2I8O8, a GGA-PBE-relaxed structure gives the theoretical X-ray diffraction stick pattern in this record (CuKα).
Lines closer than 0.1° are merged.

Peak list (8 most intense, 2θ = 10–80°, most intense first)
2θ 20.56, I 100.0
2θ 23.61, I 63.6
2θ 27.43, I 53.5
2θ 12.68, I 50.3
2θ 13.40, I 47.6
2θ 28.75, I 45.0
2θ 13.86, I 37.1
2θ 24.39, I 34.4

Atomic structure:
abc: 7.477 13.220 14.299
angles: 90.00 102.48 90.00
Space group P2_1/c (No. 14)
Inequivalent atoms, fractional coordinates:
1 Mg 0.000 0.000 0.000 x2
2 Bi 0.279 0.038 0.573 x4
3 I 0.039 0.133 0.408 x4
4 I 0.219 0.149 0.738 x4
5 I 0.354 0.067 0.115 x4
6 I 0.387 0.654 0.941 x4
7 O 0.158 0.023 0.162 x4
8 O 0.212 0.116 0.005 x4
9 O 0.223 0.584 0.480 x4
10 O 0.376 0.576 0.554 x4



(8)
For MnBiSe2I, a GGA-PBE-relaxed structure gives the theoretical X-ray diffraction stick pattern in this record (CuKα).
Lines closer than 0.1° are merged.

Peak list (8 most intense, 2θ = 10–80°, most intense first)
2θ 29.31, I 100.0
2θ 29.12, I 70.4
2θ 30.82, I 49.1
2θ 28.75, I 41.1
2θ 22.23, I 37.3
2θ 30.44, I 37.1
2θ 43.80, I 34.9
2θ 53.46, I 30.8

Atomic structure:
abc: 13.537 4.134 10.158
angles: 90.00 91.86 90.00
Space group C2/m (No. 12)
Inequivalent atoms, fractional coordinates:
1 Mn 0.000 0.000 0.000 x2
2 Mn 0.000 0.000 0.500 x2
3 Bi 0.211 0.500 0.311 x4
4 Se 0.070 0.000 0.257 x4
5 Se 0.135 0.500 0.558 x4
6 I 0.135 0.500 0.929 x4



(9)
For NdBi2IO4, a GGA-PBE-relaxed structure gives the theoretical X-ray diffraction stick pattern in this record (CuKα).
Lines closer than 0.1° are merged.

Peak list (8 most intense, 2θ = 10–80°, most intense first)
2θ 28.81, I 100.0
2θ 54.48, I 34.5
2θ 31.53, I 32.4
2θ 49.26, I 25.7
2θ 45.19, I 17.8
2θ 59.67, I 11.2
2θ 61.52, I 11.0
2θ 79.54, I 10.8

Atomic structure:
abc: 4.013 4.013 9.758
angles: 90.00 90.00 90.00
Space group P4/mmm (No. 123)
Inequivalent atoms, fractional coordinates:
1 Nd 0.000 0.000 0.000 x1
2 Bi 0.500 0.500 0.261 x2
3 I 0.000 0.000 0.500 x1
4 O 0.000 0.500 0.150 x4